1.
Sm7DyTm12: theoretical powder XRD pattern (copper Kα), based on a crystal structure in Alexandria, relaxed with PBE.
Lines closer than 0.1° are merged.

Cell and atoms:
```
data_Sm7DyTm12
_cell_length_a 11.8601
_cell_length_b 11.8601
_cell_length_c 16.0996
_cell_angle_alpha 90.00
_cell_angle_beta 90.00
_cell_angle_gamma 120.00
_symmetry_space_group_name_H-M 'R -3'
_symmetry_Int_Tables_number 148
_symmetry_space_group_name_Hall '-R 3'
loop_
_atom_site_label
_atom_site_fract_x
_atom_site_fract_y
_atom_site_fract_z
_atom_site_occupancy
Sm1 0.0000 0.0000 0.0000 1
Sm2 0.0535 0.1893 0.2910 1
Dy1 0.0000 0.0000 0.5000 1
Tm1 0.0223 0.4485 0.2201 1
Tm2 0.0505 0.5863 0.5835 1
```

Largest 12 diffraction maxima, most intense first, 10 to 90 degrees two-theta:
| 2θ (°) | d/Å | I/Imax |
| --- | --- | --- |
| 31.9 | 2.805 | 100 |
| 33.4 | 2.685 | 58 |
| 32.0 | 2.794 | 49 |
| 31.0 | 2.886 | 37 |
| 29.1 | 3.072 | 27 |
| 55.9 | 1.645 | 26 |
| 32.8 | 2.728 | 24 |
| 51.1 | 1.788 | 20 |
| 36.8 | 2.445 | 18 |
| 59.3 | 1.558 | 16 |
| 28.2 | 3.168 | 14 |
| 66.7 | 1.402 | 14 |


2.
BaI4: theoretical powder XRD pattern (copper Kα), based on a crystal structure in Alexandria, relaxed with PBE.
Lines closer than 0.1° are merged.

Cell and atoms:
```
data_BaI4
_cell_length_a 6.8018
_cell_length_b 6.8018
_cell_length_c 6.8018
_cell_angle_alpha 90.00
_cell_angle_beta 90.00
_cell_angle_gamma 90.00
_symmetry_space_group_name_H-M 'P m -3 m'
_symmetry_Int_Tables_number 221
_symmetry_space_group_name_Hall '-P 4 2 3'
loop_
_atom_site_label
_atom_site_fract_x
_atom_site_fract_y
_atom_site_fract_z
_atom_site_occupancy
Ba1 0.0000 0.0000 0.0000 1
I1 0.0000 0.0000 0.5000 1
I2 0.5000 0.5000 0.5000 1
```

Largest 12 diffraction maxima, most intense first, 10 to 90 degrees two-theta:
| 2θ (°) | d/Å | I/Imax |
| --- | --- | --- |
| 26.2 | 3.401 | 100 |
| 37.4 | 2.405 | 77 |
| 22.6 | 3.927 | 66 |
| 60.9 | 1.521 | 37 |
| 44.2 | 2.051 | 33 |
| 46.2 | 1.963 | 28 |
| 67.5 | 1.388 | 27 |
| 13.0 | 6.802 | 22 |
| 18.4 | 4.810 | 20 |
| 85.7 | 1.134 | 18 |
| 59.2 | 1.560 | 14 |
| 53.9 | 1.700 | 13 |


3.
KSb2RhO8: theoretical powder XRD pattern (copper Kα), based on a crystal structure in Alexandria, relaxed with PBE.
Lines closer than 0.1° are merged.

Cell and atoms:
```
data_KSb2RhO8
_cell_length_a 4.7907
_cell_length_b 6.4964
_cell_length_c 4.9742
_cell_angle_alpha 90.00
_cell_angle_beta 93.68
_cell_angle_gamma 90.00
_symmetry_space_group_name_H-M 'P 1 2/m 1'
_symmetry_Int_Tables_number 10
loop_
_symmetry_equiv_pos_as_xyz
'x,y,z'
'-x,-y,-z'
'-x,y,-z'
'x,-y,z'
loop_
_atom_site_label
_atom_site_fract_x
_atom_site_fract_y
_atom_site_fract_z
_atom_site_occupancy
K1 0.0000 0.0000 0.0000 1
Sb1 0.5000 0.2491 0.5000 1
Rh1 0.0000 0.5000 0.0000 1
O1 0.2576 0.2940 0.1651 1
O2 0.2639 0.5000 0.6673 1
O3 0.2834 0.0000 0.6182 1
```

Largest 12 diffraction maxima, most intense first, 10 to 90 degrees two-theta:
| 2θ (°) | d/Å | I/Imax |
| --- | --- | --- |
| 25.0 | 3.560 | 100 |
| 33.3 | 2.687 | 85 |
| 26.7 | 3.338 | 79 |
| 33.0 | 2.718 | 61 |
| 49.9 | 1.827 | 39 |
| 49.1 | 1.857 | 30 |
| 51.8 | 1.764 | 30 |
| 36.2 | 2.482 | 27 |
| 51.0 | 1.791 | 24 |
| 63.1 | 1.474 | 20 |
| 13.6 | 6.496 | 17 |
| 37.5 | 2.399 | 15 |


4.
KTc2SeCl: theoretical powder XRD pattern (copper Kα), based on a crystal structure in Alexandria, relaxed with PBE.
Lines closer than 0.1° are merged.

Cell and atoms:
```
data_KTc2SeCl
_cell_length_a 4.6460
_cell_length_b 4.6460
_cell_length_c 7.3468
_cell_angle_alpha 90.00
_cell_angle_beta 90.00
_cell_angle_gamma 90.00
_symmetry_space_group_name_H-M 'P 4/m m m'
_symmetry_Int_Tables_number 123
_symmetry_space_group_name_Hall '-P 4 2'
loop_
_atom_site_label
_atom_site_fract_x
_atom_site_fract_y
_atom_site_fract_z
_atom_site_occupancy
K1 0.0000 0.0000 0.0000 1
Tc1 0.0000 0.5000 0.5000 1
Se1 0.0000 0.0000 0.5000 1
Cl1 0.5000 0.5000 0.0000 1
```

Largest 12 diffraction maxima, most intense first, 10 to 90 degrees two-theta:
| 2θ (°) | d/Å | I/Imax |
| --- | --- | --- |
| 12.0 | 7.347 | 100 |
| 24.2 | 3.673 | 65 |
| 46.2 | 1.963 | 55 |
| 29.8 | 2.999 | 47 |
| 38.8 | 2.323 | 36 |
| 64.7 | 1.441 | 24 |
| 40.7 | 2.215 | 21 |
| 61.9 | 1.500 | 17 |
| 22.6 | 3.927 | 13 |
| 19.1 | 4.646 | 12 |
| 56.0 | 1.643 | 12 |
| 78.0 | 1.224 | 11 |


5.
LiTaGeO5: theoretical powder XRD pattern (copper Kα), based on a crystal structure in Alexandria, relaxed with PBE.
Lines closer than 0.1° are merged.

Cell and atoms:
```
data_LiTaGeO5
_cell_length_a 6.4129
_cell_length_b 9.1824
_cell_length_c 7.4444
_cell_angle_alpha 90.00
_cell_angle_beta 114.41
_cell_angle_gamma 90.00
_symmetry_space_group_name_H-M 'C 1 2/c 1'
_symmetry_Int_Tables_number 15
loop_
_symmetry_equiv_pos_as_xyz
'x,y,z'
'-x,-y,-z'
'-x,y,-z+1/2'
'x,-y,z+1/2'
'x+1/2,y+1/2,z'
'-x+1/2,-y+1/2,-z'
'-x+1/2,y+1/2,-z+1/2'
'x+1/2,-y+1/2,z+1/2'
loop_
_atom_site_label
_atom_site_fract_x
_atom_site_fract_y
_atom_site_fract_z
_atom_site_occupancy
Li1 0.0000 0.2065 0.2500 1
Ta1 0.0000 0.5000 0.0000 1
Ge1 0.0000 0.1992 0.7500 1
O1 0.0000 0.4250 0.2500 1
O2 0.1417 0.3101 0.6380 1
O3 0.1928 0.0834 0.9307 1
```

Largest 12 diffraction maxima, most intense first, 10 to 90 degrees two-theta:
| 2θ (°) | d/Å | I/Imax |
| --- | --- | --- |
| 18.0 | 4.927 | 100 |
| 26.2 | 3.400 | 73 |
| 32.8 | 2.727 | 51 |
| 33.0 | 2.711 | 42 |
| 30.6 | 2.920 | 29 |
| 56.0 | 1.642 | 27 |
| 36.9 | 2.438 | 23 |
| 18.2 | 4.876 | 21 |
| 19.3 | 4.591 | 20 |
| 47.8 | 1.903 | 16 |
| 44.1 | 2.052 | 15 |
| 53.0 | 1.727 | 14 |


6.
NaMg3Cd4: theoretical powder XRD pattern (copper Kα), based on a crystal structure in Alexandria, relaxed with PBE.
Lines closer than 0.1° are merged.

Cell and atoms:
```
data_NaMg3Cd4
_cell_length_a 10.2596
_cell_length_b 6.5981
_cell_length_c 5.2956
_cell_angle_alpha 90.00
_cell_angle_beta 90.00
_cell_angle_gamma 90.00
_symmetry_space_group_name_H-M 'P m m a'
_symmetry_Int_Tables_number 51
loop_
_symmetry_equiv_pos_as_xyz
'x,y,z'
'-x,-y,-z'
'-x+1/2,-y,z'
'x+1/2,y,-z'
'x+1/2,-y,-z'
'-x+1/2,y,z'
'-x,y,-z'
'x,-y,z'
loop_
_atom_site_label
_atom_site_fract_x
_atom_site_fract_y
_atom_site_fract_z
_atom_site_occupancy
Na1 0.0000 0.0000 0.0000 1
Mg1 0.0000 0.5000 0.0000 1
Mg2 0.2500 0.0000 0.3909 1
Mg3 0.2500 0.5000 0.3698 1
Cd1 0.0000 0.2580 0.5000 1
Cd2 0.2500 0.2570 0.8725 1
```

Largest 12 diffraction maxima, most intense first, 10 to 90 degrees two-theta:
| 2θ (°) | d/Å | I/Imax |
| --- | --- | --- |
| 36.6 | 2.458 | 100 |
| 24.2 | 3.685 | 59 |
| 35.0 | 2.565 | 59 |
| 27.0 | 3.299 | 31 |
| 44.8 | 2.025 | 23 |
| 33.2 | 2.701 | 23 |
| 18.9 | 4.706 | 20 |
| 63.8 | 1.459 | 18 |
| 38.3 | 2.353 | 16 |
| 67.5 | 1.387 | 16 |
| 73.9 | 1.282 | 14 |
| 70.8 | 1.331 | 13 |


7.
Ti8Zn3Ga2: theoretical powder XRD pattern (copper Kα), based on a crystal structure in Alexandria, relaxed with PBE.
Lines closer than 0.1° are merged.

Cell and atoms:
```
data_Ti8Zn3Ga2
_cell_length_a 6.7407
_cell_length_b 4.4017
_cell_length_c 7.7726
_cell_angle_alpha 90.00
_cell_angle_beta 110.93
_cell_angle_gamma 90.00
_symmetry_space_group_name_H-M 'P 1 2/m 1'
_symmetry_Int_Tables_number 10
loop_
_symmetry_equiv_pos_as_xyz
'x,y,z'
'-x,-y,-z'
'-x,y,-z'
'x,-y,z'
loop_
_atom_site_label
_atom_site_fract_x
_atom_site_fract_y
_atom_site_fract_z
_atom_site_occupancy
Ti1 0.0739 0.0000 0.3546 1
Ti2 0.1049 0.5000 0.8648 1
Ti3 0.3629 0.0000 0.7966 1
Ti4 0.3632 0.5000 0.2725 1
Zn1 0.2060 0.5000 0.5615 1
Zn2 0.5000 0.0000 0.5000 1
Ga1 0.2048 0.0000 0.0695 1
```

Largest 12 diffraction maxima, most intense first, 10 to 90 degrees two-theta:
| 2θ (°) | d/Å | I/Imax |
| --- | --- | --- |
| 40.4 | 2.232 | 100 |
| 40.6 | 2.221 | 96 |
| 41.0 | 2.201 | 49 |
| 41.3 | 2.187 | 45 |
| 59.6 | 1.551 | 28 |
| 74.5 | 1.274 | 27 |
| 73.1 | 1.294 | 22 |
| 57.7 | 1.599 | 16 |
| 74.3 | 1.277 | 15 |
| 75.0 | 1.267 | 12 |
| 23.6 | 3.764 | 10 |
| 87.4 | 1.116 | 9 |


Please write out number 3 again, unchanged.
KSb2RhO8: theoretical powder XRD pattern (copper Kα), based on a crystal structure in Alexandria, relaxed with PBE.
Lines closer than 0.1° are merged.

Cell and atoms:
```
data_KSb2RhO8
_cell_length_a 4.7907
_cell_length_b 6.4964
_cell_length_c 4.9742
_cell_angle_alpha 90.00
_cell_angle_beta 93.68
_cell_angle_gamma 90.00
_symmetry_space_group_name_H-M 'P 1 2/m 1'
_symmetry_Int_Tables_number 10
loop_
_symmetry_equiv_pos_as_xyz
'x,y,z'
'-x,-y,-z'
'-x,y,-z'
'x,-y,z'
loop_
_atom_site_label
_atom_site_fract_x
_atom_site_fract_y
_atom_site_fract_z
_atom_site_occupancy
K1 0.0000 0.0000 0.0000 1
Sb1 0.5000 0.2491 0.5000 1
Rh1 0.0000 0.5000 0.0000 1
O1 0.2576 0.2940 0.1651 1
O2 0.2639 0.5000 0.6673 1
O3 0.2834 0.0000 0.6182 1
```

Largest 12 diffraction maxima, most intense first, 10 to 90 degrees two-theta:
| 2θ (°) | d/Å | I/Imax |
| --- | --- | --- |
| 25.0 | 3.560 | 100 |
| 33.3 | 2.687 | 85 |
| 26.7 | 3.338 | 79 |
| 33.0 | 2.718 | 61 |
| 49.9 | 1.827 | 39 |
| 49.1 | 1.857 | 30 |
| 51.8 | 1.764 | 30 |
| 36.2 | 2.482 | 27 |
| 51.0 | 1.791 | 24 |
| 63.1 | 1.474 | 20 |
| 13.6 | 6.496 | 17 |
| 37.5 | 2.399 | 15 |